[1]
Diffraction record for Er17Te3Ru6. The powder diffractogram is calculated, not measured: it uses a GGA-PBE-relaxed structure and Cu Kα (λ = 1.5418 Å).

The 12 most intense peaks (10° ≤ 2θ ≤ 90°), low angle first:
d = 2.851 Å, 2θ = 31.37°, I = 65
d = 2.837 Å, 2θ = 31.54°, I = 67
d = 2.743 Å, 2θ = 32.65°, I = 57
d = 2.704 Å, 2θ = 33.14°, I = 100
d = 2.646 Å, 2θ = 33.88°, I = 57
d = 2.628 Å, 2θ = 34.11°, I = 33
d = 2.621 Å, 2θ = 34.21°, I = 54
d = 2.608 Å, 2θ = 34.38°, I = 58
d = 2.194 Å, 2θ = 41.14°, I = 30
d = 1.993 Å, 2θ = 45.52°, I = 56
d = 1.605 Å, 2θ = 57.43°, I = 21
d = 1.592 Å, 2θ = 57.94°, I = 25

Structure:
```
Er17Te3Ru6
1.0
3.9855 0.0000 0.0000
-0.0064 16.1577 0.0000
-1.9903 -1.8153 20.2195
Er Te Ru
34 6 12
direct
0.0000 0.0000 0.0000
0.0000 0.5000 0.0000
0.0895 0.2669 0.1793
0.0939 0.7710 0.1876
0.1302 0.5968 0.2611
0.1331 0.0960 0.2669
0.1759 0.2908 0.3518
0.1845 0.7789 0.3696
0.2689 0.5853 0.5386
0.2706 0.0707 0.5404
0.2980 0.8756 0.5967
0.3048 0.4018 0.6086
0.3558 0.0790 0.7109
0.3618 0.5790 0.7245
0.4410 0.3891 0.8830
0.4415 0.8909 0.8836
0.4724 0.1632 0.9448
0.4756 0.6666 0.9500
0.5244 0.3334 0.0500
0.5276 0.8368 0.0552
0.5585 0.1091 0.1164
0.5590 0.6109 0.1170
0.6382 0.4210 0.2755
0.6442 0.9210 0.2891
0.6952 0.5982 0.3914
0.7020 0.1244 0.4033
0.7294 0.9293 0.4596
0.7311 0.4147 0.4614
0.8155 0.2211 0.6304
0.8241 0.7092 0.6482
0.8669 0.9040 0.7331
0.8698 0.4032 0.7389
0.9061 0.2290 0.8124
0.9105 0.7331 0.8207
0.0737 0.4526 0.1469
0.0766 0.9543 0.1521
0.2520 0.2538 0.4996
0.7480 0.7462 0.5004
0.9234 0.0457 0.8479
0.9263 0.5474 0.8531
0.0240 0.1879 0.0462
0.0262 0.6919 0.0512
0.1865 0.4750 0.3726
0.1910 0.9949 0.3822
0.3617 0.2772 0.7228
0.3667 0.7801 0.7321
0.6333 0.2199 0.2679
0.6383 0.7228 0.2772
0.8090 0.0051 0.6178
0.8135 0.5250 0.6274
0.9738 0.3081 0.9488
0.9760 0.8121 0.9538
```

=====

[2]
Diffraction record for UTaPt. The powder diffractogram is calculated, not measured: it uses a GGA-PBE-relaxed structure and Cu Kα (λ = 1.5418 Å).

The 12 most intense peaks (10° ≤ 2θ ≤ 90°), low angle first:
d = 6.749 Å, 2θ = 13.12°, I = 13
d = 3.673 Å, 2θ = 24.23°, I = 16
d = 3.110 Å, 2θ = 28.70°, I = 20
d = 2.332 Å, 2θ = 38.61°, I = 97
d = 2.276 Å, 2θ = 39.60°, I = 100
d = 1.629 Å, 2θ = 56.50°, I = 33
d = 1.600 Å, 2θ = 57.61°, I = 12
d = 1.358 Å, 2θ = 69.19°, I = 13
d = 1.325 Å, 2θ = 71.19°, I = 33
d = 1.314 Å, 2θ = 71.85°, I = 18
d = 1.166 Å, 2θ = 82.77°, I = 8
d = 1.138 Å, 2θ = 85.29°, I = 12

Structure:
```
UTaPt
1.0
2.2759 1.3140 6.7494
-2.2759 1.3140 6.7494
0.0000 -2.6279 6.7494
U Ta Pt
2 2 2
direct
0.1492 0.1492 0.1492
0.8508 0.8508 0.8508
0.2889 0.2889 0.2889
0.7111 0.7111 0.7111
0.4183 0.4183 0.4183
0.5817 0.5817 0.5817
```